For Cu4Au, a PBE-relaxed structure gives the simulated powder XRD pattern in this record (Cu Ka).
Kinematic intensities with the Lorentz-polarization factor, no thermal factor.

Principal peaks in the range 10° ≤ 2θ ≤ 90°, by angle:
| d [Å] | 2θ (°) | I (rel.) |
| --- | --- | --- |
| 5.252 | 16.88 | 20 |
| 2.199 | 41.05 | 100 |
| 2.101 | 43.06 | 27 |
| 1.882 | 48.37 | 60 |
| 1.354 | 69.39 | 23 |
| 1.138 | 85.25 | 21 |

Structural model:
a = 10.620 Å, b = 10.620 Å, c = 10.620 Å
α = 14.66°, β = 14.66°, γ = 14.66°
Element x y z (fractional)
1 Cu 0.094 0.094 0.094
2 Cu 0.302 0.302 0.302
3 Cu 0.698 0.698 0.698
4 Cu 0.906 0.906 0.906
5 Au 0.500 0.500 0.500



For CuAuF5, a PBE-relaxed structure gives the simulated powder XRD pattern in this record (Cu Ka).
Kinematic intensities with the Lorentz-polarization factor, no thermal factor.

Principal peaks in the range 10° ≤ 2θ ≤ 90°, by angle:
| d [Å] | 2θ (°) | I (rel.) |
| --- | --- | --- |
| 5.475 | 16.19 | 35 |
| 4.899 | 18.11 | 36 |
| 3.761 | 23.66 | 100 |
| 3.569 | 24.95 | 98 |
| 3.550 | 25.08 | 81 |
| 3.060 | 29.19 | 50 |

Structural model:
a = 3.789 Å, b = 5.144 Å, c = 5.545 Å
α = 90.59°, β = 98.50°, γ = 107.43°
Element x y z (fractional)
1 Cu 0.000 0.000 0.000
2 Au 0.000 0.500 0.500
3 F 0.117 0.347 0.819
4 F 0.181 0.229 0.335
5 F 0.500 0.000 0.000
6 F 0.819 0.771 0.665
7 F 0.883 0.653 0.181



For K2CuAuF6, a PBE-relaxed structure gives the simulated powder XRD pattern in this record (Cu Ka).
Kinematic intensities with the Lorentz-polarization factor, no thermal factor.

Principal peaks in the range 10° ≤ 2θ ≤ 90°, by angle:
| d [Å] | 2θ (°) | I (rel.) |
| --- | --- | --- |
| 4.932 | 17.98 | 29 |
| 4.271 | 20.80 | 61 |
| 3.020 | 29.58 | 100 |
| 2.136 | 42.32 | 41 |
| 1.910 | 47.60 | 28 |
| 1.744 | 52.47 | 39 |

Structural model:
a = 6.041 Å, b = 6.041 Å, c = 6.041 Å
α = 60.00°, β = 60.00°, γ = 60.00°
Element x y z (fractional)
1 K 0.250 0.250 0.250
2 K 0.750 0.750 0.750
3 Cu 0.000 0.000 0.000
4 Au 0.500 0.500 0.500
5 F 0.235 0.235 0.765
6 F 0.235 0.765 0.235
7 F 0.235 0.765 0.765
8 F 0.765 0.235 0.235
9 F 0.765 0.235 0.765
10 F 0.765 0.765 0.235